Calculated powder diffraction line list
Compound: KLi2BiCl6
Radiation: a wavelength of 1.5418 Å
Structure: the PBE geometry in Alexandria
Kinematic intensities with the Lorentz-polarization factor, no thermal factor.

Lattice parameters (Å, degrees): 8.5209 8.5209 8.5209 46.31 46.31 46.31
Atoms (fractional coordinates):
K (0.0000, 0.0000, 0.0000)
Li (0.1737, 0.1737, 0.1737)
Li (0.8263, 0.8263, 0.8263)
Bi (0.5000, 0.5000, 0.5000)
Cl (0.0914, 0.7823, 0.4346)
Cl (0.2177, 0.5654, 0.9086)
Cl (0.4346, 0.0914, 0.7823)
Cl (0.5654, 0.9086, 0.2177)
Cl (0.7823, 0.4346, 0.0914)
Cl (0.9086, 0.2177, 0.5654)

The 12 most intense peaks (2θ from 10° to 90°), sorted by position:
d (Å)	Rel. int.
7.592	94
5.624	46
5.171	100
4.064	61
3.583	20
3.065	51
2.812	26
2.512	76
2.154	23
2.047	20
2.019	25
1.934	29

Calculated powder diffraction line list
Compound: KBiSCl2O4
Radiation: a wavelength of 1.5418 Å
Structure: the PBE geometry in Alexandria
Kinematic intensities with the Lorentz-polarization factor, no thermal factor.

Lattice parameters (Å, degrees): 6.3952 7.6333 15.5273 90.00 90.00 90.00
Atoms (fractional coordinates):
K (0.0483, 0.2017, 0.3506)
K (0.4517, 0.7983, 0.8506)
K (0.5483, 0.2983, 0.6494)
K (0.9517, 0.7017, 0.1494)
Bi (0.0158, 0.3533, 0.8806)
Bi (0.4842, 0.6467, 0.3806)
Bi (0.5158, 0.1467, 0.1194)
Bi (0.9842, 0.8533, 0.6194)
S (0.0060, 0.1932, 0.1125)
S (0.4940, 0.8068, 0.6125)
S (0.5060, 0.3068, 0.8875)
S (0.9940, 0.6932, 0.3875)
Cl (0.0734, 0.1515, 0.5570)
Cl (0.1012, 0.4876, 0.7301)
Cl (0.3988, 0.5124, 0.2301)
Cl (0.4266, 0.8485, 0.0570)
Cl (0.5734, 0.3485, 0.4430)
Cl (0.6012, 0.0124, 0.2699)
Cl (0.8988, 0.9876, 0.7699)
Cl (0.9266, 0.6515, 0.9430)
O (0.1261, 0.8371, 0.3539)
O (0.1326, 0.2474, 0.0362)
O (0.1385, 0.5436, 0.4109)
O (0.1573, 0.1295, 0.1796)
O (0.3427, 0.8705, 0.6796)
O (0.3615, 0.4564, 0.9109)
O (0.3674, 0.7526, 0.5362)
O (0.3739, 0.1629, 0.8539)
O (0.6261, 0.6629, 0.6461)
O (0.6326, 0.2526, 0.9638)
O (0.6385, 0.9564, 0.5891)
O (0.6573, 0.3705, 0.8204)
O (0.8427, 0.6295, 0.3204)
O (0.8615, 0.0436, 0.0891)
O (0.8674, 0.7474, 0.4638)
O (0.8739, 0.3371, 0.1461)

The 12 most intense peaks (2θ from 10° to 90°), sorted by position:
d (Å)	Rel. int.
6.850	100
5.913	40
5.443	78
4.675	46
4.145	58
3.882	53
3.706	44
3.198	47
2.504	31
2.420	43
2.337	32
2.288	33

Calculated powder diffraction line list
Compound: KBi2PtCl
Radiation: a wavelength of 1.5418 Å
Structure: the PBE geometry in Alexandria
Kinematic intensities with the Lorentz-polarization factor, no thermal factor.

Lattice parameters (Å, degrees): 5.9632 5.9632 5.0797 90.00 90.00 90.00
Atoms (fractional coordinates):
K (0.0000, 0.0000, 0.0000)
Bi (0.0000, 0.5000, 0.0000)
Bi (0.5000, 0.0000, 0.0000)
Pt (0.5000, 0.5000, 0.5000)
Cl (0.0000, 0.0000, 0.5000)

The 12 most intense peaks (2θ from 10° to 90°), sorted by position:
d (Å)	Rel. int.
5.080	10
3.867	17
3.244	100
2.982	52
2.540	17
2.108	20
1.933	30
1.768	36
1.622	17
1.572	15
1.260	12
1.181	13

Calculated powder diffraction line list
Compound: K2SnBiCl8
Radiation: a wavelength of 1.5418 Å
Structure: the PBE geometry in Alexandria
Kinematic intensities with the Lorentz-polarization factor, no thermal factor.

Lattice parameters (Å, degrees): 6.7970 8.4540 7.1219 90.00 93.41 90.00
Atoms (fractional coordinates):
K (0.0000, 0.2482, 0.0000)
K (0.0000, 0.7518, 0.0000)
Sn (0.5000, 0.0000, 0.5000)
Bi (0.5000, 0.5000, 0.5000)
Cl (0.2727, 0.5000, 0.1801)
Cl (0.2825, 0.2456, 0.6316)
Cl (0.2825, 0.7544, 0.6316)
Cl (0.2840, 0.0000, 0.1919)
Cl (0.7160, 0.0000, 0.8081)
Cl (0.7175, 0.2456, 0.3684)
Cl (0.7175, 0.7544, 0.3684)
Cl (0.7273, 0.5000, 0.8199)

The 12 most intense peaks (2θ from 10° to 90°), sorted by position:
d (Å)	Rel. int.
7.109	83
6.785	83
5.061	100
4.769	66
3.633	27
3.588	72
3.244	69
3.074	32
2.566	34
2.518	69
2.443	33
2.067	39

Calculated powder diffraction line list
Compound: LaBiCl6
Radiation: a wavelength of 1.5418 Å
Structure: the PBE geometry in Alexandria
Kinematic intensities with the Lorentz-polarization factor, no thermal factor.

Lattice parameters (Å, degrees): 6.8569 6.8569 12.7898 90.00 90.00 120.00
Atoms (fractional coordinates):
La (0.3333, 0.6667, 0.2500)
La (0.6667, 0.3333, 0.7500)
Bi (0.0000, 0.0000, 0.0000)
Bi (0.0000, 0.0000, 0.5000)
Cl (0.0030, 0.3288, 0.1228)
Cl (0.0030, 0.6742, 0.3772)
Cl (0.3258, 0.3288, 0.3772)
Cl (0.3258, 0.9970, 0.1228)
Cl (0.3288, 0.0030, 0.6228)
Cl (0.3288, 0.3258, 0.8772)
Cl (0.6712, 0.6742, 0.1228)
Cl (0.6712, 0.9970, 0.3772)
Cl (0.6742, 0.0030, 0.8772)
Cl (0.6742, 0.6712, 0.6228)
Cl (0.9970, 0.3258, 0.6228)
Cl (0.9970, 0.6712, 0.8772)

The 12 most intense peaks (2θ from 10° to 90°), sorted by position:
d (Å)	Rel. int.
5.938	27
5.386	32
4.351	100
3.428	20
3.022	22
2.693	30
2.338	54
2.118	31
1.979	24
1.545	13
1.511	13
1.201	14

Calculated powder diffraction line list
Compound: La3BiCl3
Radiation: a wavelength of 1.5418 Å
Structure: the PBE geometry in Alexandria
Kinematic intensities with the Lorentz-polarization factor, no thermal factor.

Lattice parameters (Å, degrees): 11.0125 11.0125 11.0125 39.99 39.99 39.99
Atoms (fractional coordinates):
La (0.1259, 0.4368, 0.7486)
La (0.2514, 0.8741, 0.5632)
La (0.4368, 0.7486, 0.1259)
La (0.5632, 0.2514, 0.8741)
La (0.7486, 0.1259, 0.4368)
La (0.8741, 0.5632, 0.2514)
Bi (0.1667, 0.1667, 0.1667)
Bi (0.8333, 0.8333, 0.8333)
Cl (0.0331, 0.7378, 0.3867)
Cl (0.2622, 0.6133, 0.9669)
Cl (0.3867, 0.0331, 0.7378)
Cl (0.6133, 0.9669, 0.2622)
Cl (0.7378, 0.3867, 0.0331)
Cl (0.9669, 0.2622, 0.6133)

The 12 most intense peaks (2θ from 10° to 90°), sorted by position:
d (Å)	Rel. int.
3.529	51
3.021	100
2.512	34
2.174	39
2.126	14
2.100	33
1.765	19
1.510	10
1.481	15
1.370	15
1.332	10
1.240	10

Copy entry 3 word for word.
Calculated powder diffraction line list
Compound: KBi2PtCl
Radiation: a wavelength of 1.5418 Å
Structure: the PBE geometry in Alexandria
Kinematic intensities with the Lorentz-polarization factor, no thermal factor.

Lattice parameters (Å, degrees): 5.9632 5.9632 5.0797 90.00 90.00 90.00
Atoms (fractional coordinates):
K (0.0000, 0.0000, 0.0000)
Bi (0.0000, 0.5000, 0.0000)
Bi (0.5000, 0.0000, 0.0000)
Pt (0.5000, 0.5000, 0.5000)
Cl (0.0000, 0.0000, 0.5000)

The 12 most intense peaks (2θ from 10° to 90°), sorted by position:
d (Å)	Rel. int.
5.080	10
3.867	17
3.244	100
2.982	52
2.540	17
2.108	20
1.933	30
1.768	36
1.622	17
1.572	15
1.260	12
1.181	13